Record 1
This entry pairs a crystal structure of Er2In2Hg with its theoretical powder diffractogram. Radiation: Cu Ka. Structure: DFT lattice parameters and positions (GGA-PBE).

Crystal structure
```
10
Lattice="5.621 -2.349 0.000 5.621 2.349 0.000 -4.582 0.000 9.825" Properties=species:S:1:pos:R:3 pbc="T T T"
Er -1.400 0.000 3.183
Er 1.513 0.000 0.954
Er 5.145 0.000 8.871
Er 8.059 0.000 6.642
In 1.982 0.000 4.369
In 4.635 0.000 1.094
In 2.024 0.000 8.732
In 4.676 0.000 5.456
Hg -0.019 0.000 6.730
Hg 6.678 0.000 3.095
```

Top 6 peaks for 2θ = 5–70°, most intense first:
Position (°2θ)  Rel. int.
31.4  100
36.8  80
38.3  50
30.1  46
32.0  35
34.7  22

=====

Record 2
This entry pairs a crystal structure of Er8AlSe6 with its theoretical powder diffractogram. Radiation: Cu Ka. Structure: DFT lattice parameters and positions (GGA-PBE).

Crystal structure
```
15
Lattice="10.468 0.000 0.000 -5.234 9.066 0.000 0.000 0.000 3.954" Properties=species:S:1:pos:R:3 pbc="T T T"
Er -1.266 2.809 0.985
Er -2.169 8.757 0.985
Er 1.800 2.501 2.968
Er 0.000 6.044 2.966
Er 5.234 3.022 0.988
Er 3.434 6.565 0.985
Er 7.403 0.308 2.968
Er 6.500 6.257 2.968
Al 0.000 0.000 1.977
Se -2.029 5.876 1.000
Se 1.160 4.371 1.000
Se 4.365 1.181 2.954
Se 0.869 7.885 1.000
Se 4.074 4.695 2.954
Se 7.263 3.190 2.954
```

Top 6 peaks for 2θ = 5–70°, most intense first:
Position (°2θ)  Rel. int.
34.6  100
29.6  73
28.3  62
41.4  55
30.0  54
49.5  43

=====

Record 3
This entry pairs a crystal structure of Zn4Ga with its theoretical powder diffractogram. Radiation: Cu Ka. Structure: DFT lattice parameters and positions (GGA-PBE).

Crystal structure
```
5
Lattice="1.417 0.818 11.324 -1.417 0.818 11.324 0.000 -1.636 11.324" Properties=species:S:1:pos:R:3 pbc="T T T"
Zn 0.000 0.000 3.347
Zn 0.000 0.000 10.201
Zn 0.000 0.000 23.772
Zn 0.000 0.000 30.626
Ga 0.000 0.000 16.986
```

Top 5 peaks for 2θ = 5–70°, most intense first:
Position (°2θ)  Rel. int.
39.0  100
45.6  63
39.8  31
65.9  20
67.0  19

=====

Record 4
This entry pairs a crystal structure of TbPr2DyAs4 with its theoretical powder diffractogram. Radiation: Cu Ka. Structure: DFT lattice parameters and positions (GGA-PBE).

Crystal structure
```
8
Lattice="7.304 0.000 0.000 0.000 4.222 0.000 -2.436 0.000 6.890" Properties=species:S:1:pos:R:3 pbc="T T T"
Tb 0.000 0.000 0.000
Pr 2.434 0.000 3.445
Pr 3.652 2.111 0.000
Dy -1.218 2.111 3.445
As -0.071 0.000 5.139
As 1.147 2.111 1.702
As 4.939 0.000 1.751
As 3.721 2.111 5.188
```

Top 6 peaks for 2θ = 5–70°, most intense first:
Position (°2θ)  Rel. int.
29.9  100
42.9  75
53.2  26
25.9  20
62.2  12
50.7  10

=====

Record 5
This entry pairs a crystal structure of PrRe2HgO8 with its theoretical powder diffractogram. Radiation: Cu Ka. Structure: DFT lattice parameters and positions (GGA-PBE).

Crystal structure
```
12
Lattice="3.470 2.004 5.692 -3.470 2.004 5.692 0.000 -4.007 5.692" Properties=species:S:1:pos:R:3 pbc="T T T"
Pr 0.000 0.000 0.000
Re 0.000 0.000 4.263
Re 0.000 0.000 12.813
Hg 0.000 0.000 8.538
O 0.000 0.000 2.494
O 0.000 -1.668 4.854
O -1.445 0.834 4.854
O -1.445 -0.834 12.221
O 1.445 0.834 4.854
O 1.445 -0.834 12.221
O 0.000 1.668 12.221
O 0.000 0.000 14.582
```

Top 6 peaks for 2θ = 5–70°, most intense first:
Position (°2θ)  Rel. int.
25.6  100
45.2  32
36.6  14
45.1  11
59.4  9
59.5  9

=====

Record 6
This entry pairs a crystal structure of Ca5P2H with its theoretical powder diffractogram. Radiation: Cu Ka. Structure: DFT lattice parameters and positions (GGA-PBE).

Crystal structure
```
8
Lattice="-3.372 3.372 4.275 3.372 -3.372 4.275 3.372 3.372 -4.275" Properties=species:S:1:pos:R:3 pbc="T T T"
Ca 0.000 0.000 0.000
Ca 1.699 1.699 2.100
Ca 1.673 -1.673 6.375
Ca -1.673 1.673 6.375
Ca 1.673 1.673 6.375
P 3.372 0.000 4.267
P 0.000 3.372 4.267
H 0.000 0.000 2.180
```

Top 6 peaks for 2θ = 5–70°, most intense first:
Position (°2θ)  Rel. int.
33.9  100
37.7  37
65.6  25
57.9  19
16.7  15
42.3  13